No. 1
The following is a theoretical X-ray diffraction stick pattern of Zr3Tl2H. It was derived from a cell relaxed with GGA-PBE, using Cu Kα X-rays.
Intensities are scaled so that the largest is 100.

Largest 12 diffraction maxima, low angle first, 2θ = 10–90°:
| Position (°2θ) | d [Å] | I_rel |
| --- | --- | --- |
| 11.1 | 7.961 | 35 |
| 26.6 | 3.350 | 21 |
| 28.9 | 3.088 | 22 |
| 33.9 | 2.645 | 71 |
| 34.6 | 2.595 | 100 |
| 35.0 | 2.563 | 19 |
| 37.6 | 2.394 | 43 |
| 40.3 | 2.238 | 35 |
| 43.5 | 2.080 | 26 |
| 44.1 | 2.051 | 20 |
| 60.8 | 1.524 | 19 |
| 66.4 | 1.407 | 30 |

Structural model:
```
6
Lattice="2.238 -7.961 0.000 2.238 7.961 0.000 0.000 0.000 3.350" Properties=species:S:1:pos:R:3 pbc="T T T"
Zr 0.000 0.000 0.000
Zr 2.238 1.675 1.675
Zr 2.238 -1.675 1.675
Tl 2.238 4.919 0.000
Tl 2.238 -4.919 0.000
H 2.238 0.000 0.000
```

No. 2
The following is a theoretical X-ray diffraction stick pattern of Tm8H. It was derived from a cell relaxed with GGA-PBE, using Cu Kα X-rays.
Intensities are scaled so that the largest is 100.

Largest 12 diffraction maxima, low angle first, 2θ = 10–90°:
| Position (°2θ) | d [Å] | I_rel |
| --- | --- | --- |
| 29.0 | 3.083 | 24 |
| 32.4 | 2.761 | 24 |
| 33.3 | 2.692 | 100 |
| 44.0 | 2.057 | 15 |
| 51.3 | 1.780 | 20 |
| 58.4 | 1.580 | 20 |
| 62.0 | 1.496 | 22 |
| 62.6 | 1.485 | 16 |
| 69.9 | 1.346 | 4 |
| 81.4 | 1.182 | 8 |
| 85.1 | 1.140 | 14 |
| 89.9 | 1.091 | 9 |

Structural model:
```
9
Lattice="7.120 0.000 0.000 -3.560 6.166 0.000 0.000 0.000 5.521" Properties=species:S:1:pos:R:3 pbc="T T T"
Tm 0.000 2.042 1.371
Tm -1.792 5.145 1.371
Tm 1.769 1.021 4.150
Tm 0.000 4.111 4.103
Tm 3.560 2.055 1.418
Tm 1.792 5.145 1.371
Tm 5.352 1.021 4.150
Tm 3.560 4.124 4.150
H 0.000 0.000 2.761
```